For YNbAl2O8, the PBE geometry in Alexandria gives the theoretical X-ray powder pattern in this record (a wavelength of 1.5418 Å).
Neutral-atom scattering factors, no anomalous dispersion.

Largest 10 diffraction maxima, low angle first, 10° ≤ 2θ ≤ 90°:
2θ (°)  I (rel.)
19.12  59
26.23  100
33.82  63
42.36  22
44.82  16
50.51  15
51.33  60
53.97  17
64.79  13
65.23  19

Crystal structure
a = 5.761 Å, b = 5.761 Å, c = 5.761 Å
α = 107.71°, β = 107.71°, γ = 113.06°
Fractional positions:
Y (0.000, 0.000, 0.000)
Nb (0.750, 0.250, 0.500)
Al (0.250, 0.750, 0.500)
Al (0.500, 0.500, 0.000)
O (0.050, 0.373, 0.323)
O (0.050, 0.727, 0.677)
O (0.122, 0.328, 0.795)
O (0.273, 0.950, 0.323)
O (0.533, 0.328, 0.205)
O (0.627, 0.950, 0.677)
O (0.672, 0.467, 0.795)
O (0.672, 0.878, 0.205)

For Tb4Dy3Sc, the PBE geometry in Alexandria gives the theoretical X-ray powder pattern in this record (a wavelength of 1.5418 Å).
Neutral-atom scattering factors, no anomalous dispersion.

Largest 10 diffraction maxima, low angle first, 10° ≤ 2θ ≤ 90°:
2θ (°)  I (rel.)
31.02  100
32.44  45
41.38  7
42.26  7
44.01  8
47.95  11
60.63  11
61.15  22
62.66  12
70.29  9

Crystal structure
a = 8.903 Å, b = 8.903 Å, c = 8.903 Å
α = 121.29°, β = 121.29°, γ = 87.78°
Fractional positions:
Tb (0.012, 0.512, 0.199)
Tb (0.187, 0.988, 0.500)
Tb (0.313, 0.813, 0.801)
Tb (0.488, 0.687, 0.500)
Tb (0.512, 0.313, 0.500)
Tb (0.687, 0.187, 0.199)
Tb (0.813, 0.012, 0.500)
Tb (0.988, 0.488, 0.801)
Dy (0.148, 0.352, 0.500)
Dy (0.250, 0.250, 0.000)
Dy (0.352, 0.852, 0.204)
Dy (0.648, 0.148, 0.796)
Dy (0.750, 0.750, 0.000)
Dy (0.852, 0.648, 0.500)
Sc (0.000, 0.000, 0.000)
Sc (0.500, 0.500, 0.000)

For TmSc3Ir3, the PBE geometry in Alexandria gives the theoretical X-ray powder pattern in this record (a wavelength of 1.5418 Å).
Neutral-atom scattering factors, no anomalous dispersion.

Largest 10 diffraction maxima, low angle first, 10° ≤ 2θ ≤ 90°:
2θ (°)  I (rel.)
19.44  72
27.39  22
33.61  38
38.78  100
39.47  95
43.73  19
56.53  33
70.20  17
70.66  34
72.04  16

Crystal structure
a = 5.673 Å, b = 5.673 Å, c = 5.673 Å
α = 109.92°, β = 109.92°, γ = 109.92°
Fractional positions:
Tm (0.000, 0.000, 0.000)
Sc (0.000, 0.500, 0.500)
Sc (0.500, 0.000, 0.500)
Sc (0.500, 0.500, 0.000)
Ir (0.000, 0.000, 0.500)
Ir (0.000, 0.500, 0.000)
Ir (0.500, 0.000, 0.000)

For Y5Ti, the PBE geometry in Alexandria gives the theoretical X-ray powder pattern in this record (a wavelength of 1.5418 Å).
Neutral-atom scattering factors, no anomalous dispersion.

Largest 10 diffraction maxima, low angle first, 10° ≤ 2θ ≤ 90°:
2θ (°)  I (rel.)
31.62  100
36.42  17
36.71  17
36.87  15
52.67  11
52.80  11
62.55  13
62.94  13
63.16  11
66.03  11

Crystal structure
a = 4.896 Å, b = 14.626 Å, c = 4.934 Å
α = 90.00°, β = 90.00°, γ = 90.00°
Fractional positions:
Y (0.000, 0.000, 0.000)
Y (0.000, 0.157, 0.500)
Y (0.000, 0.340, 0.000)
Y (0.000, 0.660, 0.000)
Y (0.000, 0.843, 0.500)
Y (0.500, 0.160, 0.000)
Y (0.500, 0.343, 0.500)
Y (0.500, 0.500, 0.000)
Y (0.500, 0.657, 0.500)
Y (0.500, 0.840, 0.000)
Ti (0.000, 0.500, 0.500)
Ti (0.500, 0.000, 0.500)

For HfFe2Si2, the PBE geometry in Alexandria gives the theoretical X-ray powder pattern in this record (a wavelength of 1.5418 Å).
Neutral-atom scattering factors, no anomalous dispersion.

Largest 10 diffraction maxima, low angle first, 10° ≤ 2θ ≤ 90°:
2θ (°)  I (rel.)
24.42  37
25.11  52
31.78  61
38.07  100
38.28  28
38.56  60
39.01  39
39.23  73
44.52  38
46.58  45

Crystal structure
a = 4.071 Å, b = 3.899 Å, c = 8.526 Å
α = 90.00°, β = 91.11°, γ = 90.00°
Fractional positions:
Hf (0.245, 0.250, 0.240)
Hf (0.755, 0.750, 0.760)
Fe (0.160, 0.250, 0.600)
Fe (0.250, 0.750, 0.002)
Fe (0.750, 0.250, 0.998)
Fe (0.840, 0.750, 0.400)
Si (0.245, 0.250, 0.862)
Si (0.332, 0.750, 0.499)
Si (0.668, 0.250, 0.501)
Si (0.755, 0.750, 0.138)

For VCo2Te6, the PBE geometry in Alexandria gives the theoretical X-ray powder pattern in this record (a wavelength of 1.5418 Å).
Neutral-atom scattering factors, no anomalous dispersion.

Largest 10 diffraction maxima, low angle first, 10° ≤ 2θ ≤ 90°:
2θ (°)  I (rel.)
12.66  59
25.48  32
29.84  59
30.63  26
33.33  100
34.20  48
45.18  37
50.02  17
51.66  30
61.99  16

Crystal structure
a = 7.302 Å, b = 7.302 Å, c = 10.672 Å
α = 121.30°, β = 121.30°, γ = 28.92°
Fractional positions:
V (0.000, 0.000, 0.000)
Co (0.346, 0.346, 0.688)
Co (0.654, 0.654, 0.312)
Te (0.009, 0.009, 0.257)
Te (0.304, 0.304, 0.420)
Te (0.335, 0.335, 0.918)
Te (0.665, 0.665, 0.082)
Te (0.696, 0.696, 0.580)
Te (0.991, 0.991, 0.743)

For Sn3Pb2S8, the PBE geometry in Alexandria gives the theoretical X-ray powder pattern in this record (a wavelength of 1.5418 Å).
Neutral-atom scattering factors, no anomalous dispersion.

Largest 10 diffraction maxima, low angle first, 10° ≤ 2θ ≤ 90°:
2θ (°)  I (rel.)
20.90  91
22.79  35
23.32  100
26.87  66
28.39  38
33.35  38
34.86  51
41.40  64
47.56  53
47.90  42

Crystal structure
a = 8.135 Å, b = 8.135 Å, c = 6.638 Å
α = 106.35°, β = 106.35°, γ = 55.66°
Fractional positions:
Sn (0.000, 0.000, 0.000)
Sn (0.258, 0.742, 0.500)
Sn (0.742, 0.258, 0.500)
Pb (0.275, 0.275, 0.841)
Pb (0.725, 0.725, 0.159)
S (0.104, 0.104, 0.404)
S (0.122, 0.663, 0.105)
S (0.337, 0.878, 0.895)
S (0.383, 0.383, 0.533)
S (0.617, 0.617, 0.467)
S (0.663, 0.122, 0.105)
S (0.878, 0.337, 0.895)
S (0.896, 0.896, 0.596)

For Pm2Er4S9, the PBE geometry in Alexandria gives the theoretical X-ray powder pattern in this record (a wavelength of 1.5418 Å).
Neutral-atom scattering factors, no anomalous dispersion.

Largest 10 diffraction maxima, low angle first, 10° ≤ 2θ ≤ 90°:
2θ (°)  I (rel.)
17.59  41
24.25  98
25.68  100
35.61  47
39.03  81
44.42  47
45.28  48
51.59  25
61.28  21
64.92  19

Crystal structure
a = 6.938 Å, b = 6.938 Å, c = 18.542 Å
α = 90.00°, β = 90.00°, γ = 120.00°
Fractional positions:
Pm (0.000, 0.000, 0.146)
Pm (0.000, 0.000, 0.354)
Pm (0.000, 0.000, 0.646)
Pm (0.000, 0.000, 0.854)
Er (0.333, 0.667, 0.184)
Er (0.333, 0.667, 0.485)
Er (0.333, 0.667, 0.684)
Er (0.333, 0.667, 0.985)
Er (0.667, 0.333, 0.015)
Er (0.667, 0.333, 0.316)
Er (0.667, 0.333, 0.515)
Er (0.667, 0.333, 0.816)
S (0.000, 0.307, 0.250)
S (0.000, 0.693, 0.750)
S (0.030, 0.378, 0.584)
S (0.030, 0.651, 0.084)
S (0.307, 0.000, 0.250)
S (0.307, 0.307, 0.750)
S (0.349, 0.378, 0.084)
S (0.349, 0.970, 0.584)
S (0.378, 0.030, 0.916)
S (0.378, 0.349, 0.416)
S (0.622, 0.651, 0.584)
S (0.622, 0.970, 0.084)
S (0.651, 0.030, 0.416)
S (0.651, 0.622, 0.916)
S (0.693, 0.000, 0.750)
S (0.693, 0.693, 0.250)
S (0.970, 0.349, 0.916)
S (0.970, 0.622, 0.416)

For Sr6Hg2AuN, the PBE geometry in Alexandria gives the theoretical X-ray powder pattern in this record (a wavelength of 1.5418 Å).
Neutral-atom scattering factors, no anomalous dispersion.

Largest 10 diffraction maxima, low angle first, 10° ≤ 2θ ≤ 90°:
2θ (°)  I (rel.)
22.44  75
23.05  72
23.37  60
27.39  100
32.24  76
32.53  82
35.16  71
36.04  59
40.19  64
41.23  60

Crystal structure
a = 7.609 Å, b = 8.127 Å, c = 13.162 Å
α = 90.00°, β = 123.23°, γ = 90.00°
Fractional positions:
Sr (0.125, 0.023, 0.229)
Sr (0.125, 0.477, 0.729)
Sr (0.211, 0.716, 0.048)
Sr (0.211, 0.784, 0.548)
Sr (0.337, 0.172, 0.048)
Sr (0.337, 0.328, 0.548)
Sr (0.663, 0.672, 0.452)
Sr (0.663, 0.828, 0.952)
Sr (0.789, 0.216, 0.452)
Sr (0.789, 0.284, 0.952)
Sr (0.875, 0.523, 0.271)
Sr (0.875, 0.977, 0.771)
Hg (0.283, 0.084, 0.751)
Hg (0.283, 0.416, 0.251)
Hg (0.717, 0.584, 0.749)
Hg (0.717, 0.916, 0.249)
Au (0.500, 0.000, 0.500)
Au (0.500, 0.500, 0.000)
N (0.000, 0.000, 0.000)
N (0.000, 0.500, 0.500)

For NdSi3Ru, the PBE geometry in Alexandria gives the theoretical X-ray powder pattern in this record (a wavelength of 1.5418 Å).
Neutral-atom scattering factors, no anomalous dispersion.

Largest 10 diffraction maxima, low angle first, 10° ≤ 2θ ≤ 90°:
2θ (°)  I (rel.)
21.44  84
22.03  73
26.70  70
30.06  59
35.26  72
35.46  60
37.58  100
38.13  92
46.70  57
53.59  40

Crystal structure
a = 5.947 Å, b = 5.632 Å, c = 5.781 Å
α = 90.00°, β = 90.00°, γ = 90.00°
Fractional positions:
Nd (0.000, 0.154, 0.000)
Nd (0.500, 0.846, 0.500)
Si (0.000, 0.974, 0.501)
Si (0.214, 0.344, 0.511)
Si (0.286, 0.656, 0.011)
Si (0.500, 0.026, 0.001)
Si (0.714, 0.656, 0.011)
Si (0.786, 0.344, 0.511)
Ru (0.000, 0.627, 0.291)
Ru (0.500, 0.373, 0.791)

For CuIN2, the PBE geometry in Alexandria gives the theoretical X-ray powder pattern in this record (a wavelength of 1.5418 Å).
Neutral-atom scattering factors, no anomalous dispersion.

Largest 10 diffraction maxima, low angle first, 10° ≤ 2θ ≤ 90°:
2θ (°)  I (rel.)
21.55  43
22.52  63
24.06  47
24.62  48
25.42  60
25.59  73
26.43  100
38.48  34
40.94  35
42.02  27

Crystal structure
a = 4.355 Å, b = 4.422 Å, c = 13.440 Å
α = 93.34°, β = 91.34°, γ = 106.00°
Fractional positions:
Cu (0.000, 0.000, 0.000)
Cu (0.500, 0.500, 0.000)
I (0.150, 0.295, 0.851)
I (0.850, 0.705, 0.149)
N (0.320, 0.114, 0.389)
N (0.464, 0.682, 0.613)
N (0.536, 0.318, 0.387)
N (0.680, 0.886, 0.611)

For Tm6Ge3Se2S, the PBE geometry in Alexandria gives the theoretical X-ray powder pattern in this record (a wavelength of 1.5418 Å).
Neutral-atom scattering factors, no anomalous dispersion.

Largest 10 diffraction maxima, low angle first, 10° ≤ 2θ ≤ 90°:
2θ (°)  I (rel.)
26.84  8
26.98  24
31.21  100
44.63  37
44.81  37
53.02  10
55.62  19
73.82  16
74.14  11
82.55  12

Crystal structure
a = 9.067 Å, b = 9.067 Å, c = 8.120 Å
α = 103.30°, β = 103.30°, γ = 25.81°
Fractional positions:
Tm (0.004, 0.004, 0.249)
Tm (0.334, 0.334, 0.426)
Tm (0.337, 0.337, 0.908)
Tm (0.663, 0.663, 0.092)
Tm (0.666, 0.666, 0.574)
Tm (0.996, 0.996, 0.751)
Ge (0.168, 0.168, 0.335)
Ge (0.500, 0.500, 0.000)
Ge (0.832, 0.832, 0.665)
Se (0.166, 0.166, 0.833)
Se (0.834, 0.834, 0.167)
S (0.500, 0.500, 0.500)